Entry 1:
This entry pairs a crystal structure of HgH4C2N4Cl2 with its calculated X-ray powder pattern. Radiation: Cu Kα, 1.54184 Å. Structure: a GGA-PBE-relaxed structure.

Most intense lines, 10° ≤ 2θ ≤ 90°, in order of rising 2θ:
12.5 deg, rel. 100; 13.0 deg, rel. 83; 16.6 deg, rel. 51; 19.5 deg, rel. 44; 21.6 deg, rel. 35; 24.4 deg, rel. 36; 25.2 deg, rel. 45; 25.9 deg, rel. 31; 26.1 deg, rel. 25; 30.3 deg, rel. 26

```
HgH4C2N4Cl2
1.0
4.138 0.000 0.000
0.574 6.891 0.000
0.520 1.124 7.068
Hg H C N Cl
1 4 2 4 2
Cartesian
0.000 0.000 0.000
1.231 3.444 4.564
1.601 5.117 4.975
3.757 4.096 1.556
4.311 2.874 2.701
0.595 4.813 3.200
0.840 7.101 3.534
0.563 1.213 4.092
1.177 4.437 4.347
4.254 3.847 2.402
4.600 6.092 2.805
2.662 6.251 6.800
2.584 1.737 0.345
```

Entry 2:
This entry pairs a crystal structure of Hg2H10C3NCl5 with its calculated X-ray powder pattern. Radiation: Cu Kα, 1.54184 Å. Structure: a GGA-PBE-relaxed structure.

Most intense lines, 10° ≤ 2θ ≤ 90°, in order of rising 2θ:
11.4 deg, rel. 61; 18.6 deg, rel. 51; 20.4 deg, rel. 40; 20.7 deg, rel. 45; 22.1 deg, rel. 33; 24.9 deg, rel. 44; 25.0 deg, rel. 41; 25.6 deg, rel. 45; 28.3 deg, rel. 100; 37.1 deg, rel. 29

```
Hg2H10C3NCl5
1.0
6.386 0.000 0.000
-1.552 10.135 0.000
-2.806 -1.262 10.677
Hg H C N Cl
4 20 6 2 10
Cartesian
-0.557 3.758 1.756
-0.575 5.648 6.076
2.604 3.226 4.601
2.585 5.115 8.921
-1.355 -0.365 7.411
-1.198 1.395 7.085
-0.117 0.232 6.248
-1.072 0.277 9.850
0.179 9.409 1.399
-0.777 1.988 9.388
-1.138 8.635 8.779
1.976 -0.294 3.131
1.575 7.781 0.338
1.004 7.585 2.656
1.024 1.289 8.021
0.453 1.093 10.339
0.053 9.167 7.547
3.167 0.239 1.898
2.806 6.886 1.289
1.850 -0.535 9.278
3.101 8.596 0.827
2.146 8.642 4.429
3.227 7.478 3.592
3.384 9.238 3.266
-0.659 0.447 7.174
-0.312 1.012 9.560
0.918 9.579 2.190
1.110 -0.706 8.488
2.341 7.862 1.117
2.687 8.426 3.503
0.336 0.560 8.288
1.693 8.313 2.389
-0.565 1.433 1.356
-0.692 6.117 1.628
-0.612 3.471 4.698
-0.518 7.813 5.031
-0.527 4.945 8.448
2.556 3.928 2.229
2.546 1.061 5.646
2.641 5.402 5.979
2.721 2.757 9.049
2.594 7.441 9.321
```

Entry 3:
This entry pairs a crystal structure of HgH16C6N4Cl2 with its calculated X-ray powder pattern. Radiation: Cu Kα, 1.54184 Å. Structure: a GGA-PBE-relaxed structure.

Most intense lines, 10° ≤ 2θ ≤ 90°, in order of rising 2θ:
10.8 deg, rel. 100; 14.5 deg, rel. 57; 15.1 deg, rel. 53; 20.2 deg, rel. 26; 20.7 deg, rel. 40; 22.0 deg, rel. 38; 27.8 deg, rel. 23; 28.0 deg, rel. 37; 31.4 deg, rel. 30; 32.0 deg, rel. 29

```
HgH16C6N4Cl2
1.0
4.415 -4.701 0.000
4.415 4.701 0.000
-1.362 0.000 16.414
Hg H C N Cl
2 32 12 8 4
Cartesian
3.393 2.906 12.310
4.074 -2.906 4.103
3.411 3.239 2.171
3.150 3.166 5.533
3.505 3.169 7.214
2.143 1.194 1.376
4.644 3.169 0.993
1.901 1.148 16.401
4.737 3.239 6.036
4.998 3.166 2.673
2.926 0.950 6.607
2.412 0.264 9.265
1.462 -1.194 9.583
4.094 0.998 2.954
3.093 -0.264 1.058
4.054 0.998 5.253
2.581 -1.148 8.194
2.245 -0.950 14.814
5.222 0.950 1.600
4.886 1.148 8.220
3.413 -0.998 11.161
4.374 0.264 15.355
3.373 -0.998 13.459
6.005 1.194 6.831
5.055 -0.264 7.149
4.541 -0.950 9.807
2.469 -3.166 13.740
2.730 -3.239 10.377
5.567 -1.148 0.013
2.824 -3.169 15.421
5.324 -1.194 15.038
3.963 -3.169 9.199
4.317 -3.166 10.880
4.057 -3.239 14.243
3.161 3.121 10.277
3.625 3.121 14.344
3.120 0.835 1.029
4.243 1.330 1.920
3.906 1.330 6.287
2.439 -0.835 9.236
5.029 0.835 7.178
3.562 -1.330 10.127
3.225 -1.330 14.494
4.348 -0.835 15.385
3.842 -3.121 2.070
4.306 -3.121 6.137
3.048 3.240 9.119
3.818 2.828 6.284
4.330 2.828 1.923
3.739 3.240 15.501
3.729 -3.240 0.913
3.137 -2.828 14.491
3.649 -2.828 10.130
4.420 -3.240 7.294
1.158 0.986 12.514
1.839 -0.986 4.308
5.628 0.986 12.106
6.309 -0.986 3.899
```

Which formula does entry 3 have?
HgH16C6N4Cl2